KNa2NiO2: calculated powder diffractogram (Cu Kα X-rays), based on DFT lattice parameters and positions (PBE+U).
No peak broadening, texture or thermal motion is included.

The 12 most intense peaks (15 to 90 degrees two-theta), low angle first:
index  Position (°2θ)  Rel. int.
1 1 2  21.83  636
2 0 0  28.52  356
0 0 4  28.77  325
2 2 0  33.21  801
0 2 4  33.44  804
0 4 0  33.71  197
2 0 4  40.96  1000
1 5 2  47.46  395
2 4 4  54.05  197
1 7 2  64.92  181
4 2 4  69.56  157
2 2 8  69.95  168

Structural model:
```
data_KNa2NiO2
_space_group_name_H-M_alt 'C m c e'
_space_group_IT_number 64
_space_group_name_Hall '-C 2ac 2'
_cell_length_a 6.2600
_cell_length_b 10.6357
_cell_length_c 12.4108
_cell_angle_alpha 90.00
_cell_angle_beta 90.00
_cell_angle_gamma 90.00
loop_
_atom_site_label
_atom_site_fract_x
_atom_site_fract_y
_atom_site_fract_z
K1 0.0000 0.1828 0.1298
Na1 0.2273 0.0000 0.5000
Na2 0.2500 0.0312 0.7500
Ni1 0.0000 0.2499 0.3762
O1 0.0000 0.0813 0.3618
O2 0.0000 0.0819 0.8872
```